1.
PdS2Cl4F2: theoretical X-ray diffraction stick pattern (Cu Kα), based on a structure optimized by DFT (PBE).
Intensities are scaled so that the largest is 100.

Structure:
```
PdS2Cl4F2
1.0
4.2772 0.0000 0.0000
-0.3585 6.1276 0.0000
-0.7809 -2.1526 7.6092
Pd S Cl F
1 2 4 2
Direct
0.0000 0.0000 0.0000
0.3261 0.2548 0.2198
0.6739 0.7452 0.7802
0.2474 0.2189 0.4564
0.3353 0.1352 0.8299
0.6647 0.8648 0.1701
0.7526 0.7811 0.5436
0.1323 0.4814 0.2267
0.8677 0.5186 0.7733
```

Principal peaks in the range 10 to 90 degrees two-theta, by angle:
2θ/deg, I/Imax
11.63, 70
15.03, 83
16.32, 100
22.77, 37
24.76, 88
31.24, 44
35.53, 85
39.12, 54


2.
Rb2PtCl3F: theoretical X-ray diffraction stick pattern (Cu Kα), based on a structure optimized by DFT (PBE).
Intensities are scaled so that the largest is 100.

Structure:
```
Rb2PtCl3F
1.0
4.1421 0.0000 0.0000
0.0000 4.6096 5.2347
0.0000 -4.6096 5.2347
Rb Pt Cl F
2 1 3 1
Direct
0.0000 0.2188 0.7812
0.0000 0.7812 0.2188
0.5000 0.2514 0.2514
0.5000 0.4698 0.4698
0.5000 0.4996 0.9964
0.5000 0.9964 0.4996
0.5000 0.0537 0.0537
```

Principal peaks in the range 10 to 90 degrees two-theta, by angle:
2θ/deg, I/Imax
12.79, 100
25.06, 46
25.75, 24
27.46, 62
28.98, 40
34.26, 25
39.07, 21
45.47, 20


3.
ZrReClF5: theoretical X-ray diffraction stick pattern (Cu Kα), based on a structure optimized by DFT (PBE).
Intensities are scaled so that the largest is 100.

Structure:
```
ZrReClF5
1.0
5.3105 0.0000 0.0000
0.0000 7.3237 0.0000
-0.9604 0.0000 5.6813
Zr Re Cl F
2 2 2 10
Direct
0.0262 0.2500 0.1643
0.9738 0.7500 0.8357
0.1999 0.7500 0.4297
0.8001 0.2500 0.5703
0.3696 0.2500 0.9344
0.6304 0.7500 0.0656
0.1556 0.5683 0.1565
0.1556 0.9317 0.1565
0.2339 0.5684 0.6910
0.2339 0.9316 0.6910
0.3305 0.2500 0.4199
0.6695 0.7500 0.5801
0.7661 0.0684 0.3090
0.7661 0.4316 0.3090
0.8444 0.0683 0.8435
0.8444 0.4317 0.8435
```

Principal peaks in the range 10 to 90 degrees two-theta, by angle:
2θ/deg, I/Imax
16.93, 44
20.85, 56
24.32, 100
27.83, 69
35.27, 31
35.53, 32
43.30, 25
49.77, 24


4.
TaClF8: theoretical X-ray diffraction stick pattern (Cu Kα), based on a structure optimized by DFT (PBE).
Intensities are scaled so that the largest is 100.

Structure:
```
TaClF8
1.0
9.1701 0.0000 0.0000
0.0000 5.4657 0.0000
0.0000 0.0000 9.9097
Ta Cl F
4 4 32
Direct
0.0000 0.0916 0.2500
0.0000 0.9084 0.7500
0.5000 0.0916 0.7500
0.5000 0.9084 0.2500
0.2500 0.5000 0.0225
0.2500 0.5000 0.5225
0.7500 0.5000 0.4775
0.7500 0.5000 0.9775
0.1086 0.1098 0.4128
0.1086 0.8902 0.9128
0.1159 0.3680 0.1776
0.1159 0.6320 0.6776
0.1297 0.1383 0.6800
0.1297 0.8617 0.1800
0.1363 0.3887 0.9133
0.1363 0.6113 0.4133
0.3637 0.3887 0.4133
0.3637 0.6113 0.9133
0.3703 0.1383 0.1800
0.3703 0.8617 0.6800
0.3841 0.3680 0.6776
0.3841 0.6320 0.1776
0.3914 0.1098 0.9128
0.3914 0.8902 0.4128
0.6086 0.1098 0.5872
0.6086 0.8902 0.0872
0.6159 0.3680 0.8224
0.6159 0.6320 0.3224
0.6297 0.1383 0.3200
0.6297 0.8617 0.8200
0.6363 0.3887 0.0867
0.6363 0.6113 0.5867
0.8637 0.3887 0.5867
0.8637 0.6113 0.0867
0.8703 0.1383 0.8200
0.8703 0.8617 0.3200
0.8841 0.3680 0.3224
0.8841 0.6320 0.8224
0.8914 0.1098 0.0872
0.8914 0.8902 0.5872
```

Principal peaks in the range 10 to 90 degrees two-theta, by angle:
2θ/deg, I/Imax
16.22, 41
17.90, 66
19.36, 48
20.94, 76
24.25, 94
25.36, 91
26.49, 100
35.45, 41


5.
FeCl: theoretical X-ray diffraction stick pattern (Cu Kα), based on a structure optimized by DFT (PBE).
Intensities are scaled so that the largest is 100.

Structure:
```
FeCl
1.0
3.9022 0.0000 0.0000
-1.9511 3.3794 0.0000
0.0000 0.0000 4.9491
Fe Cl
2 2
Direct
0.0000 0.0000 0.0000
0.0000 0.0000 0.5000
0.3333 0.6667 0.2500
0.6667 0.3333 0.7500
```

Principal peaks in the range 10 to 90 degrees two-theta, by angle:
2θ/deg, I/Imax
26.37, 67
32.07, 46
45.43, 100
46.55, 69
67.07, 28
77.10, 10
85.57, 28
86.37, 10


6.
FeH4NCl3: theoretical X-ray diffraction stick pattern (Cu Kα), based on a structure optimized by DFT (PBE).
Intensities are scaled so that the largest is 100.

Structure:
```
FeH4NCl3
1.0
7.1026 0.0000 0.0000
0.0000 5.8234 0.0000
-3.5382 0.0000 6.1818
Fe H N Cl
2 8 2 6
Direct
0.9999 0.0000 0.9999
0.0001 0.5000 0.0001
0.1965 0.2782 0.5271
0.3314 0.2759 0.8041
0.3318 0.0439 0.6646
0.4747 0.2750 0.6685
0.5253 0.7750 0.3315
0.6682 0.5439 0.3354
0.6686 0.7759 0.1959
0.8035 0.7782 0.4729
0.3337 0.2215 0.6662
0.6663 0.7215 0.3338
0.1160 0.7521 0.7972
0.2040 0.7523 0.3199
0.3188 0.2520 0.1152
0.6812 0.7520 0.8848
0.7960 0.2523 0.6801
0.8840 0.2521 0.2028
```

Principal peaks in the range 10 to 90 degrees two-theta, by angle:
2θ/deg, I/Imax
14.36, 100
32.84, 31
32.93, 15
34.05, 9
38.57, 7
40.00, 20
42.71, 29
50.18, 7


7.
Fe4I3Cl: theoretical X-ray diffraction stick pattern (Cu Kα), based on a structure optimized by DFT (PBE).
Intensities are scaled so that the largest is 100.

Structure:
```
Fe4I3Cl
1.0
5.5818 0.0000 0.0000
0.0000 5.5818 0.0000
0.0000 0.0000 5.5818
Fe I Cl
4 3 1
Direct
0.0000 0.0000 0.0000
0.0000 0.5000 0.5000
0.5000 0.0000 0.5000
0.5000 0.5000 0.0000
0.0000 0.0000 0.5000
0.0000 0.5000 0.0000
0.5000 0.0000 0.0000
0.5000 0.5000 0.5000
```

Principal peaks in the range 10 to 90 degrees two-theta, by angle:
2θ/deg, I/Imax
15.88, 10
27.68, 14
32.07, 100
45.99, 71
57.17, 24
67.07, 11
76.29, 30
85.16, 23


8.
In3FeCl5: theoretical X-ray diffraction stick pattern (Cu Kα), based on a structure optimized by DFT (PBE).
Intensities are scaled so that the largest is 100.

Structure:
```
In3FeCl5
1.0
-4.1448 4.1448 7.4212
4.1448 -4.1448 7.4212
4.1448 4.1448 -7.4212
In Fe Cl
6 2 10
Direct
0.1614 0.6614 0.8228
0.2500 0.2500 0.0000
0.3386 0.1614 0.5000
0.6614 0.8386 0.5000
0.7500 0.7500 0.0000
0.8386 0.3386 0.1772
0.2500 0.7500 0.5000
0.7500 0.2500 0.5000
0.0000 0.0000 0.0000
0.0008 0.8082 0.5000
0.1918 0.6918 0.1927
0.3082 0.5008 0.5000
0.4992 0.9992 0.8073
0.5000 0.5000 0.0000
0.5008 0.0008 0.1927
0.6918 0.4992 0.5000
0.8082 0.3082 0.8073
0.9992 0.1918 0.5000
```

Principal peaks in the range 10 to 90 degrees two-theta, by angle:
2θ/deg, I/Imax
23.98, 31
24.60, 50
24.75, 25
30.12, 100
30.50, 22
34.21, 37
42.56, 19
49.13, 22


9.
InFeCl6: theoretical X-ray diffraction stick pattern (Cu Kα), based on a structure optimized by DFT (PBE).
Intensities are scaled so that the largest is 100.

Structure:
```
InFeCl6
1.0
6.1299 -3.4492 0.0000
6.1299 3.4492 0.0000
-4.1203 0.0000 5.9292
In Fe Cl
1 1 6
Direct
0.0000 0.0000 0.0000
0.3245 0.3245 0.4736
0.3678 0.3678 0.8084
0.4194 0.9306 0.2599
0.4901 0.4901 0.4515
0.8281 0.8281 0.0450
0.9306 0.4194 0.2599
0.9805 0.9805 0.6601
```

Principal peaks in the range 10 to 90 degrees two-theta, by angle:
2θ/deg, I/Imax
15.26, 96
15.57, 49
17.78, 100
24.94, 77
25.83, 51
31.44, 63
40.11, 33
40.39, 36


10.
LiIn2FeCl6: theoretical X-ray diffraction stick pattern (Cu Kα), based on a structure optimized by DFT (PBE).
Intensities are scaled so that the largest is 100.

Structure:
```
LiIn2FeCl6
1.0
-3.4214 3.4214 5.0658
3.4214 -3.4214 5.0658
3.4214 3.4214 -5.0658
Li In Fe Cl
1 2 1 6
Direct
0.0000 0.0000 0.0000
0.2500 0.7500 0.5000
0.7500 0.2500 0.5000
0.5000 0.5000 0.0000
0.2098 0.6954 0.9052
0.2610 0.2610 0.0000
0.3046 0.2098 0.5145
0.6954 0.7902 0.4855
0.7390 0.7390 0.0000
0.7902 0.3046 0.0948
```

Principal peaks in the range 10 to 90 degrees two-theta, by angle:
2θ/deg, I/Imax
15.63, 19
25.46, 60
26.04, 40
31.55, 100
35.44, 36
37.16, 53
45.59, 37
52.29, 36


Q: Which formula does entry 1 have?
A: PdS2Cl4F2


Q: Number 7 is which compound?
A: Fe4I3Cl